(1)
Computed X-ray powder pattern
Compound: HoTmAlSi
Radiation: CuKα
Structure: DFT lattice parameters and positions (PBE)
Intensities are scaled so that the largest is 100.

Atomic structure:
```
4
Lattice="3.955 0.000 0.000 0.000 2.147 5.354 0.000 -2.147 5.354" Properties=species:S:1:pos:R:3 pbc="T T T"
Ho 0.000 0.000 0.000
Tm 1.977 0.000 3.026
Al 1.977 0.000 6.101
Si 0.000 0.000 7.699
```

The 10 most intense peaks (2θ = 15–90°), in order of falling intensity:
Position (°2θ), Rel. int.
31.88, 100
28.05, 67
32.62, 54
22.31, 38
39.98, 29
33.47, 28
51.34, 26
53.10, 24
42.09, 22
57.43, 22

(2)
Computed X-ray powder pattern
Compound: Mg2Nb2Ni15
Radiation: CuKα
Structure: DFT lattice parameters and positions (PBE)
Intensities are scaled so that the largest is 100.

Atomic structure:
```
19
Lattice="4.135 2.387 4.118 -4.135 2.387 4.118 0.000 -4.775 4.118" Properties=species:S:1:pos:R:3 pbc="T T T"
Mg 0.000 0.000 1.795
Mg 0.000 0.000 10.559
Nb 0.000 0.000 4.884
Nb 0.000 0.000 7.469
Ni -2.068 -1.194 4.118
Ni 0.000 -2.428 3.984
Ni -2.103 1.214 3.984
Ni -1.271 -2.201 6.177
Ni -2.542 0.000 6.177
Ni -2.103 -1.214 8.369
Ni -2.068 1.194 8.236
Ni 1.271 -2.201 6.177
Ni 0.000 2.387 4.118
Ni -1.271 2.201 6.177
Ni 2.103 1.214 3.984
Ni 2.542 0.000 6.177
Ni 1.271 2.201 6.177
Ni 2.103 -1.214 8.369
Ni 0.000 2.428 8.369
```

The 10 most intense peaks (2θ = 15–90°), in order of falling intensity:
Position (°2θ), Rel. int.
43.81, 100
49.32, 87
49.45, 31
37.68, 26
21.53, 25
43.98, 24
44.53, 23
38.50, 21
80.45, 18
80.76, 16

(3)
Computed X-ray powder pattern
Compound: Mn3C4
Radiation: CuKα
Structure: DFT lattice parameters and positions (PBE)
Intensities are scaled so that the largest is 100.

Atomic structure:
```
7
Lattice="5.386 0.000 0.000 -2.693 4.665 0.000 0.000 0.000 2.620" Properties=species:S:1:pos:R:3 pbc="T T T"
Mn -1.347 2.332 0.000
Mn 2.693 0.000 0.000
Mn 1.347 2.332 0.000
C 0.000 0.000 0.658
C 0.000 0.000 1.962
C 0.000 3.110 1.310
C 2.693 1.555 1.310
```

The 10 most intense peaks (2θ = 15–90°), in order of falling intensity:
Position (°2θ), Rel. int.
38.60, 100
52.53, 75
19.03, 39
34.22, 32
69.85, 19
48.47, 17
80.13, 14
39.45, 13
84.90, 11
82.76, 9